The following is a calculated XRD peak list of UPaZn2O8. It was derived from a crystal structure in Alexandria, relaxed with GGA-PBE, using Cu Kα, 1.54184 Å.
Intensities are scaled so that the largest is 100.

Largest 10 diffraction maxima, in order of rising 2θ, 2θ = 10–80°:
18.9 deg, d = 4.702 Å, intensity 53; 25.0 deg, d = 3.565 Å, intensity 14; 26.6 deg, d = 3.357 Å, intensity 47; 27.1 deg, d = 3.294 Å, intensity 45; 31.5 deg, d = 2.841 Å, intensity 100; 37.2 deg, d = 2.419 Å, intensity 19; 38.3 deg, d = 2.351 Å, intensity 24; 50.1 deg, d = 1.821 Å, intensity 35; 50.7 deg, d = 1.801 Å, intensity 34; 65.0 deg, d = 1.435 Å, intensity 19

Structural model:
Cell lengths 4.700, 7.130, 4.706 Å; angles 90.00, 91.08, 90.00 degrees
Space group P2/m (No. 10)
Symmetry-distinct sites (fractional):
1 U 0.000 0.000 0.000 x1
2 Pa 0.000 0.500 0.000 x1
3 Zn 0.500 0.253 0.500 x2
4 O 0.196 0.243 0.198 x4
5 O 0.293 0.000 0.710 x2
6 O 0.305 0.500 0.697 x2